[1]
For Tb4NdTh3, DFT lattice parameters and positions (PBE) gives the computed X-ray diffraction stick pattern in this record (Cu Ka).

Structure:
```
Tb4NdTh3
1.0
7.1646 0.0000 0.0000
0.0000 14.2766 0.0000
-3.5650 0.0000 5.0738
Tb Nd Th
8 2 6
Cartesian
0.0000 1.7789 0.0000
-1.7825 3.5233 2.5369
-1.7825 10.7533 2.5369
0.0000 12.4977 0.0000
1.7998 3.6150 2.5369
3.5823 5.3594 0.0000
3.5823 8.9172 0.0000
1.7998 10.6616 2.5369
-1.7825 7.1383 2.5369
1.7998 0.0000 2.5369
-1.7825 0.0000 2.5369
0.0000 5.3903 0.0000
0.0000 8.8863 0.0000
3.5823 1.7480 0.0000
1.7998 7.1383 2.5369
3.5823 12.5286 0.0000
```

Largest 10 diffraction maxima, in order of rising 2θ, 2θ from 10° to 90°:
Position (°2θ)	d (Å)	I (rel.)
30.5	2.931	337
30.6	2.920	1000
35.4	2.537	228
35.5	2.528	451
50.9	1.792	246
51.1	1.789	163
60.6	1.528	245
60.7	1.525	194
63.7	1.460	126
85.8	1.133	114

[2]
For Tb4Nd2Th3, DFT lattice parameters and positions (PBE) gives the computed X-ray diffraction stick pattern in this record (Cu Ka).

Structure:
```
Tb4Nd2Th3
1.0
3.5813 0.0000 0.0000
-1.7907 3.1015 0.0000
0.0000 0.0000 26.8218
Tb Nd Th
4 2 3
Cartesian
0.0000 0.0000 0.0000
0.0000 0.0000 5.7873
0.0000 2.0677 8.6668
0.0000 2.0677 14.4781
0.0000 0.0000 17.4833
0.0000 0.0000 23.4077
0.0000 0.0000 11.5842
0.0000 2.0677 2.8302
0.0000 2.0677 20.4782
```

Largest 10 diffraction maxima, in order of rising 2θ, 2θ from 10° to 90°:
Position (°2θ)	d (Å)	I (rel.)
28.8	3.102	436
30.0	2.980	480
31.8	2.815	634
33.4	2.685	1000
42.0	2.149	292
51.0	1.791	363
56.5	1.630	310
60.3	1.535	406
62.3	1.490	231
84.6	1.145	269

[3]
For Tb3Nd3Th2, DFT lattice parameters and positions (PBE) gives the computed X-ray diffraction stick pattern in this record (Cu Ka).

Structure:
```
Tb3Nd3Th2
1.0
6.2386 0.0000 0.0000
-2.0786 5.8950 0.0000
-2.0872 -2.9379 7.2267
Tb Nd Th
3 3 2
Cartesian
0.0000 0.0000 0.0000
-1.0420 2.9513 1.8504
3.1148 0.0059 5.3763
-1.0459 2.9548 5.3346
2.0800 2.9475 0.0000
3.1187 0.0024 1.8921
-0.0025 0.0067 3.5882
2.0753 2.9504 3.6385
```

Largest 10 diffraction maxima, in order of rising 2θ, 2θ from 10° to 90°:
Position (°2θ)	d (Å)	I (rel.)
30.3	2.946	1000
35.2	2.552	508
50.6	1.805	243
50.6	1.802	121
60.1	1.540	179
60.2	1.538	218
63.1	1.474	63
63.2	1.472	62
82.4	1.171	75
85.0	1.141	83

[4]
For Tb8Nd4Th, DFT lattice parameters and positions (PBE) gives the computed X-ray diffraction stick pattern in this record (Cu Ka).

Structure:
```
Tb8Nd4Th
1.0
5.5440 3.2009 4.5133
-5.5440 3.2009 4.5133
0.0000 -6.4017 4.5133
Tb Nd Th
8 4 1
Cartesian
0.0000 -3.3154 5.5927
-2.8712 1.6577 5.5927
0.0000 0.0000 3.2607
-2.8712 -1.6577 7.9473
2.8712 1.6577 5.5927
0.0000 0.0000 10.2793
2.8712 -1.6577 7.9473
0.0000 3.3154 7.9473
0.0000 0.0000 0.0000
-2.7720 -1.6004 4.5133
-2.7720 1.6004 9.0266
0.0000 3.2008 4.5133
0.0000 0.0000 6.7700
```

Largest 10 diffraction maxima, in order of rising 2θ, 2θ from 10° to 90°:
Position (°2θ)	d (Å)	I (rel.)
16.0	5.539	66
19.6	4.522	71
22.7	3.916	59
25.4	3.503	76
32.3	2.769	1000
46.4	1.958	182
57.6	1.600	282
57.8	1.596	93
76.9	1.239	78
77.0	1.238	78

[5]
For Tb2NdTh2, DFT lattice parameters and positions (PBE) gives the computed X-ray diffraction stick pattern in this record (Cu Ka).

Structure:
```
Tb2NdTh2
1.0
3.5954 0.0000 0.0000
-1.7977 3.1137 0.0000
0.0000 0.0000 43.8358
Tb Nd Th
6 3 6
Cartesian
0.0000 0.0000 4.3104
0.0000 0.0000 39.5254
0.0000 2.0758 24.9134
0.0000 2.0758 33.5342
1.7977 1.0379 10.3015
1.7977 1.0379 18.9223
0.0000 0.0000 21.9179
0.0000 2.0758 7.3060
1.7977 1.0379 36.5298
0.0000 0.0000 13.1961
0.0000 0.0000 30.6397
0.0000 2.0758 16.0278
0.0000 2.0758 42.4199
1.7977 1.0379 1.4159
1.7977 1.0379 27.8080
```

Largest 10 diffraction maxima, in order of rising 2θ, 2θ from 10° to 90°:
Position (°2θ)	d (Å)	I (rel.)
30.5	2.934	1000
30.6	2.922	326
35.4	2.538	673
50.8	1.798	246
51.0	1.792	238
60.4	1.532	435
60.6	1.528	140
63.4	1.467	126
82.7	1.166	122
85.4	1.137	114

[6]
For Tb4NdTh2, DFT lattice parameters and positions (PBE) gives the computed X-ray diffraction stick pattern in this record (Cu Ka).

Structure:
```
Tb4NdTh2
1.0
6.1053 0.0000 0.0000
0.0000 3.5707 0.0000
-1.7984 0.0000 11.1379
Tb Nd Th
4 1 2
Cartesian
0.1079 0.0000 2.5215
1.1426 1.7853 8.2432
3.1643 1.7853 2.8947
4.1990 0.0000 8.6164
3.0527 0.0000 0.0000
-0.8992 1.7853 5.5690
2.1534 0.0000 5.5690
```

Largest 10 diffraction maxima, in order of rising 2θ, 2θ from 10° to 90°:
Position (°2θ)	d (Å)	I (rel.)
29.5	3.026	319
29.6	3.013	263
32.0	2.799	198
32.1	2.786	1000
34.5	2.602	578
35.2	2.547	165
51.7	1.768	132
60.3	1.535	171
61.6	1.505	130
61.7	1.503	114

[7]
For Tb3Nd2Th2, DFT lattice parameters and positions (PBE) gives the computed X-ray diffraction stick pattern in this record (Cu Ka).

Structure:
```
Tb3Nd2Th2
1.0
3.6118 0.0000 0.0000
1.7992 5.9633 0.0000
0.0038 1.0840 10.7216
Tb Nd Th
3 2 2
Cartesian
0.0000 0.0000 0.0000
1.8042 4.8598 6.1810
3.6106 2.1875 4.5407
1.8050 1.6496 7.6828
3.6099 5.3977 3.0388
1.8014 2.7047 1.4748
3.6135 4.3426 9.2468
```

Largest 10 diffraction maxima, in order of rising 2θ, 2θ from 10° to 90°:
Position (°2θ)	d (Å)	I (rel.)
30.4	2.941	1000
30.5	2.934	329
35.2	2.548	452
35.3	2.540	222
50.8	1.799	401
60.2	1.538	196
60.3	1.534	287
60.4	1.532	94
63.2	1.472	84
85.4	1.137	90

[8]
For Tb3Nd4Th, DFT lattice parameters and positions (PBE) gives the computed X-ray diffraction stick pattern in this record (Cu Ka).

Structure:
```
Tb3Nd4Th
1.0
23.7048 0.0000 0.0000
0.0000 3.4842 0.0000
-1.9786 0.0000 6.6031
Tb Nd Th
6 8 2
Cartesian
0.0000 0.0000 0.0000
2.1305 0.0000 2.5326
7.7433 1.7421 4.0706
11.8524 1.7421 0.0000
13.9830 1.7421 2.5326
19.5957 0.0000 4.0706
1.1769 0.0000 5.6876
4.2759 1.7421 4.8596
5.5980 0.0000 1.7435
8.6969 1.7421 0.9156
13.0293 1.7421 5.6876
16.1283 0.0000 4.8596
17.4504 1.7421 1.7435
20.5494 0.0000 0.9156
-0.9893 1.7421 3.3016
10.8631 0.0000 3.3016
```

Largest 10 diffraction maxima, in order of rising 2θ, 2θ from 10° to 90°:
Position (°2θ)	d (Å)	I (rel.)
28.2	3.165	264
28.7	3.110	562
30.3	2.951	981
30.4	2.941	985
31.5	2.838	865
32.4	2.764	386
32.8	2.727	1000
36.9	2.436	387
43.2	2.096	349
61.9	1.500	522